Cu16Te: computed X-ray diffraction stick pattern (Cu Kα), based on a DFT-relaxed cell (PBE, OQMD).
No peak broadening, texture or thermal motion is included.

Largest 10 diffraction maxima, by intensity, 10 to 80 degrees two-theta:
hkl 1 0 -13, 43.22 deg, d 2.093, rel. 100; hkl 2 1 5, 41.78 deg, d 2.162, rel. 61; hkl 3 1 -7, 48.98 deg, d 1.860, rel. 47; hkl 5 0 -2, 44.15 deg, d 2.051, rel. 38; hkl 3 1 -8, 50.69 deg, d 1.801, rel. 31; hkl 7 1 4, 75.01 deg, d 1.266, rel. 21; hkl 4 0 11, 50.88 deg, d 1.795, rel. 20; hkl 5 0 -1, 43.82 deg, d 2.066, rel. 20; hkl 1 0 -12, 39.85 deg, d 2.262, rel. 17; hkl 1 0 -3, 12.76 deg, d 6.937, rel. 15

Structure:
Cell: 10.3516 2.6423 27.7402 Å, 90.00 90.72 90.00°
Positions (direct):
Cu 0.0126 0.2500 0.0393
Cu 0.0405 0.7500 0.1184
Cu 0.0727 0.2500 0.1987
Cu 0.1348 0.2500 0.8205
Cu 0.1655 0.7500 0.8983
Cu 0.1922 0.2500 0.9769
Cu 0.2174 0.7500 0.0554
Cu 0.2440 0.2500 0.1344
Cu 0.2782 0.7500 0.2119
Cu 0.3165 0.2500 0.7568
Cu 0.3426 0.7500 0.8360
Cu 0.3715 0.2500 0.9143
Cu 0.3974 0.7500 0.9922
Cu 0.4223 0.2500 0.0704
Cu 0.4511 0.7500 0.1479
Cu 0.4817 0.2500 0.2260
Cu 0.5183 0.7500 0.7740
Cu 0.5489 0.2500 0.8521
Cu 0.5777 0.7500 0.9296
Cu 0.6026 0.2500 0.0078
Cu 0.6285 0.7500 0.0857
Cu 0.6574 0.2500 0.1640
Cu 0.6835 0.7500 0.2432
Cu 0.7218 0.2500 0.7881
Cu 0.7560 0.7500 0.8656
Cu 0.7826 0.2500 0.9446
Cu 0.8078 0.7500 0.0231
Cu 0.8345 0.2500 0.1017
Cu 0.8652 0.7500 0.1795
Cu 0.9273 0.7500 0.8013
Cu 0.9595 0.2500 0.8816
Cu 0.9874 0.7500 0.9607
Te 0.0946 0.7500 0.7259
Te 0.9054 0.2500 0.2741